1.
Computed X-ray diffraction stick pattern of La2SbS5Br for Cu Kα, from a GGA-PBE-relaxed structure.
Peak positions follow from Bragg's law for the DFT cell and can differ from measured ones.

Structure:
```
data_La2SbS5Br
_symmetry_space_group_name_H-M 'P n m a'
_symmetry_Int_Tables_number 62
_cell_length_a 8.9921
_cell_length_b 5.5159
_cell_length_c 18.0743
_cell_angle_alpha 90.00
_cell_angle_beta 90.00
_cell_angle_gamma 90.00
loop_
_symmetry_equiv_pos_as_xyz
'x,y,z'
'-x,-y,-z'
'-x+1/2,-y,z+1/2'
'x+1/2,y,-z+1/2'
'x+1/2,-y+1/2,-z+1/2'
'-x+1/2,y+1/2,z+1/2'
'-x,y+1/2,-z'
'x,-y+1/2,z'
loop_
_atom_site_label
_atom_site_fract_x
_atom_site_fract_y
_atom_site_fract_z
La1 0.1554 0.2500 0.1998
La2 0.2256 0.2500 0.4703
Sb1 0.0138 0.2500 0.6691
S1 0.0203 0.7500 0.6536
S2 0.0735 0.7500 0.4573
S3 0.1549 0.5612 0.8267
S4 0.2182 0.7500 0.1422
Br1 0.0963 0.2500 0.0280
```

Principal peaks in the range 2θ = 5–70°, in order of rising 2θ:
h k l	2θ/deg	I (rel.)
1 1 2	21.30	77.2
1 0 4	22.03	48.3
2 1 0	25.56	39.2
2 1 1	26.04	35.9
0 1 5	29.55	35.6
0 0 6	29.66	52.2
0 2 0	32.46	100.0
3 0 3	33.39	71.2
3 1 1	34.41	60.9
1 1 6	35.41	37.9
3 1 3	37.25	36.6
1 2 4	39.58	57.7

2.
Computed X-ray diffraction stick pattern of Sn7Os3 for Cu Kα, from a GGA-PBE-relaxed structure.
Peak positions follow from Bragg's law for the DFT cell and can differ from measured ones.

Structure:
```
data_Sn7Os3
_symmetry_space_group_name_H-M 'I m -3 m'
_symmetry_Int_Tables_number 229
_symmetry_space_group_name_Hall '-I 4 2 3'
_cell_length_a 9.5070
_cell_length_b 9.5070
_cell_length_c 9.5070
_cell_angle_alpha 90.00
_cell_angle_beta 90.00
_cell_angle_gamma 90.00
loop_
_atom_site_label
_atom_site_fract_x
_atom_site_fract_y
_atom_site_fract_z
Sn1 0.0000 0.2500 0.5000
Sn2 0.1610 0.1610 0.1610
Os1 0.0000 0.0000 0.3441
```

Principal peaks in the range 2θ = 5–70°, in order of rising 2θ:
h k l	2θ/deg	I (rel.)
2 0 0	18.67	10.7
2 1 1	22.91	27.9
2 2 2	32.63	31.3
3 2 1	35.32	23.4
3 3 0	40.25	100.0
4 2 0	42.53	6.7
3 3 2	44.71	4.4
4 2 2	46.81	18.8
4 4 0	54.61	6.6
6 0 0	58.23	20.0
5 3 2	59.98	8.7
5 4 1	63.41	15.0

3.
Computed X-ray diffraction stick pattern of V3Cd for Cu Kα, from a GGA-PBE-relaxed structure.
Peak positions follow from Bragg's law for the DFT cell and can differ from measured ones.

Structure:
```
data_V3Cd
_symmetry_space_group_name_H-M 'P 63/m m c'
_symmetry_Int_Tables_number 194
_symmetry_space_group_name_Hall '-P 6c 2c'
_cell_length_a 5.6557
_cell_length_b 5.6557
_cell_length_c 4.4854
_cell_angle_alpha 90.00
_cell_angle_beta 90.00
_cell_angle_gamma 120.00
loop_
_atom_site_label
_atom_site_fract_x
_atom_site_fract_y
_atom_site_fract_z
V1 0.1510 0.3020 0.2500
Cd1 0.3333 0.6667 0.7500
```

Principal peaks in the range 2θ = 5–70°, in order of rising 2θ:
h k l	2θ/deg	I (rel.)
1 0 1	26.95	28.3
1 1 0	31.64	10.5
2 0 0	36.70	24.8
0 0 2	40.21	26.5
2 0 1	42.04	100.0
2 1 0	49.22	5.5
1 1 2	52.05	5.2
2 1 1	53.55	3.2
2 0 2	55.56	13.7
1 0 3	65.25	2.3
2 1 2	65.36	4.4
2 2 0	66.08	14.4

4.
Computed X-ray diffraction stick pattern of Y3Ge13Ir4 for Cu Kα, from a GGA-PBE-relaxed structure.
Peak positions follow from Bragg's law for the DFT cell and can differ from measured ones.

Structure:
```
data_Y3Ge13Ir4
_symmetry_space_group_name_H-M 'P m -3 n'
_symmetry_Int_Tables_number 223
_symmetry_space_group_name_Hall '-P 4n 2 3'
_cell_length_a 9.0374
_cell_length_b 9.0374
_cell_length_c 9.0374
_cell_angle_alpha 90.00
_cell_angle_beta 90.00
_cell_angle_gamma 90.00
loop_
_atom_site_label
_atom_site_fract_x
_atom_site_fract_y
_atom_site_fract_z
Y1 0.0000 0.2500 0.5000
Ge1 0.0000 0.0000 0.0000
Ge2 0.0000 0.3084 0.1463
Ir1 0.2500 0.2500 0.2500
```

Principal peaks in the range 2θ = 5–70°, in order of rising 2θ:
h k l	2θ/deg	I (rel.)
2 0 0	19.65	86.3
2 2 0	27.92	52.0
2 2 2	34.37	49.9
3 2 0	35.83	100.0
3 2 1	37.23	39.4
4 0 0	39.90	57.7
4 1 0	41.18	16.3
4 2 0	44.85	70.4
4 2 2	49.40	88.0
4 4 0	57.70	20.6
6 2 0	65.30	18.7
6 2 2	68.92	40.3

5.
Computed X-ray diffraction stick pattern of YMg2 for Cu Kα, from a GGA-PBE-relaxed structure.
Peak positions follow from Bragg's law for the DFT cell and can differ from measured ones.

Structure:
```
data_YMg2
_symmetry_space_group_name_H-M 'C m c m'
_symmetry_Int_Tables_number 63
_symmetry_space_group_name_Hall '-C 2c 2'
_cell_length_a 3.3526
_cell_length_b 17.2379
_cell_length_c 5.4668
_cell_angle_alpha 90.00
_cell_angle_beta 90.00
_cell_angle_gamma 90.00
loop_
_atom_site_label
_atom_site_fract_x
_atom_site_fract_y
_atom_site_fract_z
Y1 0.0000 0.1074 0.2500
Mg1 0.0000 0.2207 0.7500
Mg2 0.0000 0.4421 0.2500
```

Principal peaks in the range 2θ = 5–70°, in order of rising 2θ:
h k l	2θ/deg	I (rel.)
0 2 1	19.23	56.0
0 4 0	20.61	22.2
1 1 0	27.10	16.6
1 3 0	30.88	18.9
0 6 0	31.13	14.7
1 1 1	31.74	13.5
0 0 2	32.76	38.3
1 3 1	35.07	100.0
0 6 1	35.29	41.1
1 9 0	55.23	15.9
1 3 3	59.98	20.0
1 9 2	65.72	18.9